Starting from the GGA-PBE geometry in Alexandria, the X-ray powder pattern of Li2I2O7 was calculated for Cu Kα (weighted mean of Kα1 and Kα2).

Principal peaks in the range 2θ = 10–90°, most intense first:
- hkl 1 1 -1, 22.36 deg, I = 100
- hkl 0 2 0, 18.73 deg, I = 89
- hkl 1 1 1, 22.48 deg, I = 74
- hkl 0 2 1, 23.76 deg, I = 44
- hkl 1 1 2, 34.08 deg, I = 29
- hkl 1 3 2, 43.75 deg, I = 28
- hkl 2 0 0, 28.62 deg, I = 28
- hkl 0 0 1, 14.49 deg, I = 23

Lattice parameters (Å, degrees): 6.238 9.476 6.114 90.00 90.35 90.00
Space group C2/m (No. 12)
One atom of each set of equivalent atoms:
Li  0.000  0.241  0.000 [4 per cell]
I  0.219  0.000  0.668 [4 per cell]
O  0.000  0.500  0.500 [2 per cell]
O  0.080  0.000  0.300 [4 per cell]
O  0.237  0.345  0.160 [8 per cell]